Diffraction record for Tb4In20Ni11. The PXRD pattern is calculated, not measured: it uses a GGA-PBE-relaxed structure and Cu Kα X-rays.
Peak positions follow from Bragg's law for the DFT cell and can differ from measured ones.

Peak list (12 most intense, 15° ≤ 2θ ≤ 90°, low angle first)
| 2θ/deg | d [Å] | intensity | h k l |
| --- | --- | --- | --- |
| 31.4 | 2.850 | 25 | 1 1 -4 |
| 34.2 | 2.625 | 23 | 3 1 -5 |
| 34.4 | 2.610 | 37 | 5 1 -5 |
| 35.0 | 2.561 | 100 | 5 1 1 |
| 35.3 | 2.544 | 36 | 7 1 -4 |
| 35.8 | 2.511 | 46 | 1 1 4 |
| 36.8 | 2.440 | 18 | 7 1 -1 |
| 41.6 | 2.172 | 80 | 0 2 0 |
| 42.5 | 2.129 | 23 | 1 1 -6 |
| 43.4 | 2.085 | 17 | 5 1 -7 |
| 44.3 | 2.044 | 15 | 8 0 -8 |
| 68.3 | 1.373 | 21 | 0 0 10 |

Atomic structure:
abc: 22.669 4.344 16.664
angles: 90.00 124.59 90.00
Space group C2/m (No. 12)
Symmetry-distinct sites (fractional):
1 Tb 0.119 0.000 0.332
2 Tb 0.229 0.000 0.825
3 In 0.010 0.000 0.095
4 In 0.041 0.500 0.378
5 In 0.064 0.000 0.790
6 In 0.102 0.500 0.992
7 In 0.111 0.500 0.691
8 In 0.115 0.000 0.551
9 In 0.128 0.500 0.196
10 In 0.202 0.000 0.003
11 In 0.203 0.500 0.502
12 In 0.246 0.000 0.291
13 Ni 0.000 0.500 0.500
14 Ni 0.006 0.500 0.194
15 Ni 0.022 0.000 0.600
16 Ni 0.136 0.000 0.103
17 Ni 0.153 0.500 0.879
18 Ni 0.247 0.500 0.383